For SrLi6Hg12, DFT lattice parameters and positions (GGA-PBE) gives the theoretical powder X-ray diffraction pattern in this record (Cu Kα, 1.54184 Å).

Crystal structure
Lattice parameters (Å, degrees): 8.0345 8.0345 8.0345 106.29 106.29 106.29
Sites, in units of the cell vectors:
Sr: 0.0000 0.0000 0.0000
Li: 0.2784 0.2784 0.7019
Li: 0.2784 0.7019 0.2784
Li: 0.2981 0.7216 0.7216
Li: 0.7019 0.2784 0.2784
Li: 0.7216 0.2981 0.7216
Li: 0.7216 0.7216 0.2981
Hg: 0.1174 0.5000 0.8826
Hg: 0.1174 0.8826 0.5000
Hg: 0.1468 0.3962 0.3962
Hg: 0.3962 0.1468 0.3962
Hg: 0.3962 0.3962 0.1468
Hg: 0.5000 0.1174 0.8826
Hg: 0.5000 0.8826 0.1174
Hg: 0.6038 0.6038 0.8532
Hg: 0.6038 0.8532 0.6038
Hg: 0.8532 0.6038 0.6038
Hg: 0.8826 0.1174 0.5000
Hg: 0.8826 0.5000 0.1174

The 10 most intense peaks (10 to 80 degrees two-theta), by angle:
| 2θ/deg | d_spacing | I_rel |
| --- | --- | --- |
| 20.9 | 4.259 | 36 |
| 25.1 | 3.551 | 17 |
| 30.5 | 2.928 | 100 |
| 32.3 | 2.772 | 45 |
| 36.5 | 2.462 | 20 |
| 38.0 | 2.367 | 41 |
| 45.2 | 2.005 | 37 |
| 57.5 | 1.602 | 16 |
| 58.9 | 1.568 | 16 |
| 65.5 | 1.424 | 15 |

---

For SrLi3Hg, DFT lattice parameters and positions (GGA-PBE) gives the theoretical powder X-ray diffraction pattern in this record (Cu Kα, 1.54184 Å).

Crystal structure
Lattice parameters (Å, degrees): 4.5334 4.5334 7.1949 108.28 108.28 89.99
Sites, in units of the cell vectors:
Sr: 0.0000 0.0000 0.0000
Li: 0.2681 0.7675 0.5372
Li: 0.6189 0.6189 0.2378
Li: 0.7675 0.2681 0.5372
Hg: 0.4032 0.4032 0.8071

The 10 most intense peaks (10 to 80 degrees two-theta), by angle:
| 2θ/deg | d_spacing | I_rel |
| --- | --- | --- |
| 13.7 | 6.449 | 100 |
| 20.8 | 4.277 | 52 |
| 27.8 | 3.206 | 57 |
| 28.6 | 3.120 | 74 |
| 31.2 | 2.871 | 65 |
| 39.8 | 2.267 | 25 |
| 40.2 | 2.242 | 46 |
| 42.3 | 2.138 | 26 |
| 49.7 | 1.834 | 33 |
| 57.8 | 1.595 | 24 |

---

For SrLiTb2Hg4, DFT lattice parameters and positions (GGA-PBE) gives the theoretical powder X-ray diffraction pattern in this record (Cu Kα, 1.54184 Å).

Crystal structure
Lattice parameters (Å, degrees): 9.5312 9.5312 9.5312 31.53 31.53 31.53
Sites, in units of the cell vectors:
Sr: 0.0000 0.0000 0.0000
Li: 0.5000 0.5000 0.5000
Tb: 0.2403 0.2403 0.2403
Tb: 0.7597 0.7597 0.7597
Hg: 0.1265 0.1265 0.1265
Hg: 0.3924 0.3924 0.3924
Hg: 0.6076 0.6076 0.6076
Hg: 0.8735 0.8735 0.8735

The 10 most intense peaks (10 to 80 degrees two-theta), by angle:
| 2θ/deg | d_spacing | I_rel |
| --- | --- | --- |
| 19.6 | 4.525 | 16 |
| 23.8 | 3.742 | 23 |
| 25.8 | 3.458 | 13 |
| 33.1 | 2.706 | 81 |
| 34.6 | 2.589 | 100 |
| 40.1 | 2.247 | 16 |
| 41.8 | 2.162 | 14 |
| 48.7 | 1.871 | 28 |
| 61.1 | 1.517 | 28 |
| 62.1 | 1.495 | 19 |

---

For Sr2LiTlHg6, DFT lattice parameters and positions (GGA-PBE) gives the theoretical powder X-ray diffraction pattern in this record (Cu Kα, 1.54184 Å).

Crystal structure
Lattice parameters (Å, degrees): 5.7267 6.0388 8.7958 97.26 107.16 101.62
Sites, in units of the cell vectors:
Sr: 0.0530 0.3261 0.1921
Sr: 0.9470 0.6739 0.8079
Li: 0.5000 0.0000 0.5000
Tl: 0.5000 0.5000 0.0000
Hg: 0.0445 0.1564 0.6659
Hg: 0.3277 0.5803 0.5866
Hg: 0.4163 0.9521 0.1607
Hg: 0.5837 0.0479 0.8393
Hg: 0.6723 0.4197 0.4134
Hg: 0.9555 0.8436 0.3341

The 10 most intense peaks (10 to 80 degrees two-theta), by angle:
| 2θ/deg | d_spacing | I_rel |
| --- | --- | --- |
| 16.7 | 5.319 | 55 |
| 27.3 | 3.262 | 100 |
| 31.2 | 2.867 | 68 |
| 31.6 | 2.830 | 72 |
| 32.6 | 2.748 | 43 |
| 34.1 | 2.632 | 63 |
| 34.8 | 2.579 | 53 |
| 36.1 | 2.490 | 87 |
| 38.3 | 2.348 | 42 |
| 39.0 | 2.309 | 61 |

---

For Li2TbHg, DFT lattice parameters and positions (GGA-PBE) gives the theoretical powder X-ray diffraction pattern in this record (Cu Kα, 1.54184 Å).

Crystal structure
Lattice parameters (Å, degrees): 4.7349 5.6380 6.7378 90.00 90.00 90.00
Sites, in units of the cell vectors:
Li: 0.2500 0.0068 0.1073
Li: 0.2500 0.4932 0.1073
Li: 0.7500 0.5068 0.8927
Li: 0.7500 0.9932 0.8927
Tb: 0.2500 0.2500 0.5676
Tb: 0.7500 0.7500 0.4324
Hg: 0.2500 0.7500 0.7458
Hg: 0.7500 0.2500 0.2542

The 10 most intense peaks (10 to 80 degrees two-theta), by angle:
| 2θ/deg | d_spacing | I_rel |
| --- | --- | --- |
| 13.1 | 6.738 | 53 |
| 20.5 | 4.324 | 35 |
| 23.0 | 3.874 | 100 |
| 27.9 | 3.193 | 36 |
| 31.7 | 2.819 | 41 |
| 36.4 | 2.468 | 87 |
| 38.0 | 2.367 | 28 |
| 39.5 | 2.279 | 55 |
| 43.4 | 2.086 | 35 |
| 59.0 | 1.565 | 29 |

---

For Li3TbHg4, DFT lattice parameters and positions (GGA-PBE) gives the theoretical powder X-ray diffraction pattern in this record (Cu Kα, 1.54184 Å).

Crystal structure
Lattice parameters (Å, degrees): 8.5591 8.5591 8.5591 33.13 33.13 33.13
Sites, in units of the cell vectors:
Li: 0.0000 0.0000 0.0000
Li: 0.2527 0.2527 0.2527
Li: 0.7473 0.7473 0.7473
Tb: 0.5000 0.5000 0.5000
Hg: 0.1162 0.1162 0.1162
Hg: 0.3716 0.3716 0.3716
Hg: 0.6284 0.6284 0.6284
Hg: 0.8838 0.8838 0.8838

The 10 most intense peaks (10 to 80 degrees two-theta), by angle:
| 2θ/deg | d_spacing | I_rel |
| --- | --- | --- |
| 25.7 | 3.467 | 100 |
| 33.4 | 2.679 | 14 |
| 36.5 | 2.463 | 94 |
| 36.8 | 2.440 | 100 |
| 45.5 | 1.995 | 23 |
| 52.8 | 1.733 | 33 |
| 59.4 | 1.556 | 15 |
| 59.9 | 1.545 | 20 |
| 66.1 | 1.413 | 34 |
| 66.4 | 1.409 | 18 |

---

For LiTb2TmHg4, DFT lattice parameters and positions (GGA-PBE) gives the theoretical powder X-ray diffraction pattern in this record (Cu Kα, 1.54184 Å).

Crystal structure
Lattice parameters (Å, degrees): 8.9829 8.9829 8.9829 33.28 33.28 33.28
Sites, in units of the cell vectors:
Li: 0.0000 0.0000 0.0000
Tb: 0.2540 0.2540 0.2540
Tb: 0.7460 0.7460 0.7460
Tm: 0.5000 0.5000 0.5000
Hg: 0.1245 0.1245 0.1245
Hg: 0.3747 0.3747 0.3747
Hg: 0.6253 0.6253 0.6253
Hg: 0.8755 0.8755 0.8755

The 10 most intense peaks (10 to 80 degrees two-theta), by angle:
| 2θ/deg | d_spacing | I_rel |
| --- | --- | --- |
| 20.2 | 4.389 | 7 |
| 24.4 | 3.649 | 14 |
| 34.7 | 2.588 | 100 |
| 34.9 | 2.573 | 99 |
| 50.0 | 1.825 | 36 |
| 62.0 | 1.497 | 18 |
| 62.4 | 1.488 | 37 |
| 62.5 | 1.485 | 19 |
| 73.1 | 1.294 | 11 |
| 73.6 | 1.286 | 12 |

---

For Li2HgTe2, DFT lattice parameters and positions (GGA-PBE) gives the theoretical powder X-ray diffraction pattern in this record (Cu Kα, 1.54184 Å).

Crystal structure
Lattice parameters (Å, degrees): 12.2569 6.6783 6.8680 90.00 92.75 90.00
Sites, in units of the cell vectors:
Li: 0.0115 0.2413 0.0048
Li: 0.0115 0.2587 0.5048
Li: 0.2527 0.7345 0.0046
Li: 0.2527 0.7655 0.5046
Li: 0.7473 0.2345 0.4954
Li: 0.7473 0.2655 0.9954
Li: 0.9885 0.7413 0.4952
Li: 0.9885 0.7587 0.9952
Hg: 0.3202 0.1803 0.9296
Hg: 0.3202 0.3197 0.4296
Hg: 0.6798 0.6803 0.5704
Hg: 0.6798 0.8197 0.0704
Te: 0.1222 0.5127 0.2549
Te: 0.1222 0.9874 0.7549
Te: 0.3999 0.5254 0.7634
Te: 0.3999 0.9746 0.2634
Te: 0.6001 0.0254 0.7366
Te: 0.6001 0.4746 0.2366
Te: 0.8778 0.0126 0.2451
Te: 0.8778 0.4874 0.7451

The 10 most intense peaks (10 to 80 degrees two-theta), by angle:
| 2θ/deg | d_spacing | I_rel |
| --- | --- | --- |
| 15.1 | 5.863 | 72 |
| 19.7 | 4.512 | 45 |
| 23.2 | 3.833 | 100 |
| 24.0 | 3.710 | 35 |
| 29.2 | 3.057 | 42 |
| 30.5 | 2.932 | 59 |
| 32.2 | 2.780 | 45 |
| 37.6 | 2.393 | 58 |
| 45.1 | 2.011 | 31 |
| 45.5 | 1.992 | 38 |

---

For LiTh2Hg3, DFT lattice parameters and positions (GGA-PBE) gives the theoretical powder X-ray diffraction pattern in this record (Cu Kα, 1.54184 Å).

Crystal structure
Lattice parameters (Å, degrees): 13.7484 13.7484 6.6168 90.00 90.00 165.41
Sites, in units of the cell vectors:
Li: 0.1557 0.8443 0.7500
Li: 0.8443 0.1557 0.2500
Th: 0.3290 0.6710 0.7500
Th: 0.4946 0.5054 0.2500
Th: 0.5054 0.4946 0.7500
Th: 0.6710 0.3290 0.2500
Hg: 0.0847 0.9153 0.0186
Hg: 0.0847 0.9153 0.4814
Hg: 0.2703 0.7297 0.2500
Hg: 0.7297 0.2703 0.7500
Hg: 0.9153 0.0847 0.5186
Hg: 0.9153 0.0847 0.9814

The 10 most intense peaks (10 to 80 degrees two-theta), by angle:
| 2θ/deg | d_spacing | I_rel |
| --- | --- | --- |
| 30.0 | 2.977 | 39 |
| 30.4 | 2.940 | 100 |
| 33.3 | 2.687 | 37 |
| 33.5 | 2.675 | 53 |
| 34.5 | 2.600 | 22 |
| 35.6 | 2.522 | 26 |
| 37.6 | 2.392 | 79 |
| 39.7 | 2.273 | 25 |
| 58.4 | 1.580 | 26 |
| 64.7 | 1.442 | 22 |

---

For LiTl3Hg3, DFT lattice parameters and positions (GGA-PBE) gives the theoretical powder X-ray diffraction pattern in this record (Cu Kα, 1.54184 Å).

Crystal structure
Lattice parameters (Å, degrees): 6.2078 6.2078 10.1361 93.25 93.25 103.72
Sites, in units of the cell vectors:
Li: 0.2092 0.2092 0.0609
Li: 0.7908 0.7908 0.9391
Tl: 0.1705 0.8295 0.5000
Tl: 0.3035 0.6965 0.0000
Tl: 0.4363 0.4363 0.6527
Tl: 0.5637 0.5637 0.3473
Tl: 0.6965 0.3035 0.0000
Tl: 0.8295 0.1705 0.5000
Hg: 0.0437 0.4476 0.2592
Hg: 0.0857 0.0857 0.8027
Hg: 0.4476 0.0437 0.2592
Hg: 0.5524 0.9563 0.7408
Hg: 0.9143 0.9143 0.1973
Hg: 0.9563 0.5524 0.7408

The 10 most intense peaks (10 to 80 degrees two-theta), by angle:
| 2θ/deg | d_spacing | I_rel |
| --- | --- | --- |
| 29.5 | 3.031 | 31 |
| 30.6 | 2.918 | 38 |
| 31.5 | 2.844 | 100 |
| 33.6 | 2.670 | 66 |
| 35.6 | 2.523 | 15 |
| 36.8 | 2.443 | 27 |
| 40.2 | 2.242 | 21 |
| 55.1 | 1.665 | 18 |
| 57.8 | 1.594 | 14 |
| 59.9 | 1.544 | 15 |

---

For LiTl2Hg3, DFT lattice parameters and positions (GGA-PBE) gives the theoretical powder X-ray diffraction pattern in this record (Cu Kα, 1.54184 Å).

Crystal structure
Lattice parameters (Å, degrees): 5.1569 7.6278 8.2434 90.00 108.20 90.00
Sites, in units of the cell vectors:
Li: 0.1567 0.0000 0.3126
Li: 0.8433 0.0000 0.6874
Tl: 0.1634 0.5000 0.3247
Tl: 0.5000 0.0000 0.0000
Tl: 0.5000 0.5000 0.0000
Tl: 0.8366 0.5000 0.6753
Hg: 0.0000 0.2347 0.0000
Hg: 0.0000 0.7653 0.0000
Hg: 0.3172 0.2091 0.6337
Hg: 0.3172 0.7909 0.6337
Hg: 0.6828 0.2091 0.3663
Hg: 0.6828 0.7909 0.3663

The 10 most intense peaks (10 to 80 degrees two-theta), by angle:
| 2θ/deg | d_spacing | I_rel |
| --- | --- | --- |
| 27.0 | 3.306 | 20 |
| 33.9 | 2.644 | 100 |
| 34.4 | 2.610 | 24 |
| 34.8 | 2.578 | 27 |
| 49.7 | 1.834 | 17 |
| 50.4 | 1.809 | 10 |
| 60.4 | 1.533 | 8 |
| 61.2 | 1.513 | 14 |
| 61.8 | 1.501 | 18 |
| 71.3 | 1.322 | 8 |

---

For LiTlHg, DFT lattice parameters and positions (GGA-PBE) gives the theoretical powder X-ray diffraction pattern in this record (Cu Kα, 1.54184 Å).

Crystal structure
Lattice parameters (Å, degrees): 5.3325 5.3325 5.3325 138.83 134.92 62.69
Sites, in units of the cell vectors:
Li: 0.0000 0.0000 0.0000
Tl: 0.6726 0.6726 0.0000
Hg: 0.3400 0.3400 0.0000

The 10 most intense peaks (10 to 80 degrees two-theta), by angle:
| 2θ/deg | d_spacing | I_rel |
| --- | --- | --- |
| 19.5 | 4.554 | 39 |
| 23.9 | 3.730 | 50 |
| 25.7 | 3.468 | 42 |
| 32.4 | 2.764 | 100 |
| 36.9 | 2.437 | 71 |
| 38.1 | 2.361 | 95 |
| 44.3 | 2.044 | 21 |
| 59.9 | 1.545 | 36 |
| 62.5 | 1.486 | 31 |
| 70.8 | 1.331 | 22 |